# 1
For MgCr2O4, DFT lattice parameters and positions (GGA+U) gives the simulated powder diffractogram in this record (Cu Kα (weighted mean of Kα1 and Kα2)).
No peak broadening, texture or thermal motion is included.

Largest 8 diffraction maxima, sorted by position, 15 to 90 degrees two-theta:
2θ 18.13, rel. 70; 2θ 29.82, rel. 12; 2θ 35.12, rel. 100; 2θ 36.73, rel. 11; 2θ 42.67, rel. 58; 2θ 56.41, rel. 38; 2θ 61.93, rel. 58; 2θ 88.64, rel. 16

Unit cell a=5.9930 b=5.9930 c=5.9930 alpha=60.00 beta=60.00 gamma=60.00
Atoms (fractional coordinates):
Mg 0.1250 0.1250 0.1250
Mg 0.8750 0.8750 0.8750
Cr 0.0000 0.5000 0.5000
Cr 0.5000 0.0000 0.5000
Cr 0.5000 0.5000 0.0000
Cr 0.5000 0.5000 0.5000
O 0.2607 0.2607 0.2607
O 0.2607 0.2607 0.7179
O 0.2607 0.7179 0.2607
O 0.2821 0.7393 0.7393
O 0.7179 0.2607 0.2607
O 0.7393 0.2821 0.7393
O 0.7393 0.7393 0.2821
O 0.7393 0.7393 0.7393

# 2
For Li9Mn2Co5O16, DFT lattice parameters and positions (GGA+U) gives the simulated powder diffractogram in this record (Cu Kα (weighted mean of Kα1 and Kα2)).
No peak broadening, texture or thermal motion is included.

Largest 8 diffraction maxima, sorted by position, 15 to 90 degrees two-theta:
2θ 18.29, rel. 100; 2θ 35.51, rel. 15; 2θ 36.17, rel. 27; 2θ 42.92, rel. 29; 2θ 43.79, rel. 54; 2θ 47.56, rel. 14; 2θ 62.77, rel. 15; 2θ 63.21, rel. 15

Unit cell a=5.8858 b=5.8858 c=10.3291 alpha=107.35 beta=107.35 gamma=59.02
Atoms (fractional coordinates):
Li 0.0000 0.0000 0.0000
Li 0.2382 0.2382 0.2353
Li 0.2442 0.7533 0.7589
Li 0.2467 0.7558 0.2411
Li 0.2525 0.2525 0.7610
Li 0.7475 0.7475 0.2390
Li 0.7533 0.2442 0.7589
Li 0.7558 0.2467 0.2411
Li 0.7618 0.7618 0.7647
Mn 0.5000 0.5000 0.0000
Mn 0.5000 0.5000 0.5000
Co 0.0000 0.0000 0.5000
Co 0.0000 0.5000 0.0000
Co 0.0000 0.5000 0.5000
Co 0.5000 0.0000 0.0000
Co 0.5000 0.0000 0.5000
O 0.1400 0.1400 0.3843
O 0.1396 0.1396 0.8885
O 0.1400 0.6286 0.3884
O 0.1429 0.6141 0.8856
O 0.3714 0.8600 0.6116
O 0.3803 0.3803 0.6112
O 0.3824 0.3824 0.1155
O 0.3859 0.8571 0.1144
O 0.6141 0.1429 0.8856
O 0.6176 0.6176 0.8845
O 0.6197 0.6197 0.3888
O 0.6286 0.1400 0.3884
O 0.8571 0.3859 0.1144
O 0.8600 0.3714 0.6116
O 0.8604 0.8604 0.1115
O 0.8600 0.8600 0.6157

# 3
For Li5Mn2Co5O12, DFT lattice parameters and positions (GGA+U) gives the simulated powder diffractogram in this record (Cu Kα (weighted mean of Kα1 and Kα2)).
No peak broadening, texture or thermal motion is included.

Largest 8 diffraction maxima, sorted by position, 15 to 90 degrees two-theta:
2θ 18.35, rel. 40; 2θ 23.94, rel. 29; 2θ 37.22, rel. 38; 2θ 42.73, rel. 100; 2θ 44.37, rel. 46; 2θ 62.02, rel. 27; 2θ 63.20, rel. 26; 2θ 63.40, rel. 27

Unit cell a=5.1529 b=5.1529 c=9.8738 alpha=95.68 beta=95.68 gamma=121.30
Atoms (fractional coordinates):
Li 0.0000 0.0000 0.0000
Li 0.2479 0.2430 0.7535
Li 0.4200 0.0766 0.2480
Li 0.7570 0.7521 0.2465
Li 0.9234 0.5800 0.7520
Mn 0.3338 0.6662 0.0000
Mn 0.8403 0.1597 0.5000
Co 0.0890 0.4081 0.2460
Co 0.1723 0.8277 0.5000
Co 0.5087 0.4913 0.5000
Co 0.5919 0.9110 0.7540
Co 0.6683 0.3317 0.0000
O 0.0450 0.6844 0.1137
O 0.1083 0.1190 0.3818
O 0.2053 0.5245 0.6188
O 0.3156 0.9550 0.8863
O 0.3815 0.4046 0.1150
O 0.4755 0.7947 0.3812
O 0.5744 0.1980 0.6177
O 0.5954 0.6185 0.8850
O 0.6899 0.0443 0.1151
O 0.8020 0.4256 0.3823
O 0.8810 0.8917 0.6182
O 0.9557 0.3101 0.8849

# 4
For K2MgV2O7, DFT lattice parameters and positions (GGA+U) gives the simulated powder diffractogram in this record (Cu Kα (weighted mean of Kα1 and Kα2)).
No peak broadening, texture or thermal motion is included.

Largest 8 diffraction maxima, sorted by position, 15 to 90 degrees two-theta:
2θ 15.27, rel. 17; 2θ 23.33, rel. 13; 2θ 25.28, rel. 12; 2θ 27.39, rel. 10; 2θ 28.00, rel. 100; 2θ 33.23, rel. 14; 2θ 45.95, rel. 15; 2θ 60.62, rel. 12

Unit cell a=8.5261 b=8.5261 c=11.6070 alpha=90.00 beta=90.00 gamma=90.00
Atoms (fractional coordinates):
K 0.1481 0.1481 0.0000
K 0.1815 0.1815 0.5000
K 0.3185 0.6815 0.0000
K 0.3519 0.6481 0.5000
K 0.6481 0.3519 0.5000
K 0.6815 0.3185 0.0000
K 0.8185 0.8185 0.5000
K 0.8519 0.8519 0.0000
Mg 0.0000 0.5000 0.2500
Mg 0.0000 0.5000 0.7500
Mg 0.5000 0.0000 0.2500
Mg 0.5000 0.0000 0.7500
V 0.1419 0.8581 0.2871
V 0.1419 0.8581 0.7129
V 0.3581 0.3581 0.2129
V 0.3581 0.3581 0.7871
V 0.6419 0.6419 0.2129
V 0.6419 0.6419 0.7871
V 0.8581 0.1419 0.2871
V 0.8581 0.1419 0.7129
O 0.0000 0.0000 0.3442
O 0.0000 0.0000 0.6558
O 0.0890 0.6756 0.3413
O 0.0890 0.6756 0.6587
O 0.1411 0.8589 0.1422
O 0.1411 0.8589 0.8578
O 0.1756 0.4110 0.1587
O 0.1756 0.4110 0.8413
O 0.3244 0.9110 0.3413
O 0.3244 0.9110 0.6587
O 0.3589 0.3589 0.3578
O 0.3589 0.3589 0.6422
O 0.4110 0.1756 0.1587
O 0.4110 0.1756 0.8413
O 0.5000 0.5000 0.1558
O 0.5000 0.5000 0.8442
O 0.5890 0.8244 0.1587
O 0.5890 0.8244 0.8413
O 0.6411 0.6411 0.3578
O 0.6411 0.6411 0.6422
O 0.6756 0.0890 0.3413
O 0.6756 0.0890 0.6587
O 0.8244 0.5890 0.1587
O 0.8244 0.5890 0.8413
O 0.8589 0.1411 0.1422
O 0.8589 0.1411 0.8578
O 0.9110 0.3244 0.3413
O 0.9110 0.3244 0.6587

# 5
For CaGe2WO6, DFT lattice parameters and positions (GGA+U) gives the simulated powder diffractogram in this record (Cu Kα (weighted mean of Kα1 and Kα2)).
No peak broadening, texture or thermal motion is included.

Largest 8 diffraction maxima, sorted by position, 15 to 90 degrees two-theta:
2θ 19.75, rel. 27; 2θ 21.53, rel. 100; 2θ 28.22, rel. 47; 2θ 30.68, rel. 50; 2θ 33.82, rel. 22; 2θ 34.96, rel. 26; 2θ 46.22, rel. 21; 2θ 56.51, rel. 26

Unit cell a=8.3477 b=8.3477 c=5.3749 alpha=98.12 beta=98.12 gamma=62.65
Atoms (fractional coordinates):
Ca 0.1528 0.8472 0.7500
Ca 0.8472 0.1528 0.2500
Ge 0.0786 0.2883 0.7854
Ge 0.2883 0.0786 0.2854
Ge 0.7117 0.9214 0.7146
Ge 0.9214 0.7117 0.2146
W 0.4085 0.5915 0.2500
W 0.5915 0.4085 0.7500
O 0.0853 0.1374 0.0263
O 0.1374 0.0853 0.5263
O 0.1783 0.6466 0.3338
O 0.3478 0.5194 0.8980
O 0.3534 0.8217 0.1662
O 0.4806 0.6522 0.6020
O 0.5194 0.3478 0.3980
O 0.6466 0.1783 0.8338
O 0.6522 0.4806 0.1020
O 0.8217 0.3534 0.6662
O 0.8626 0.9147 0.4737
O 0.9147 0.8626 0.9737

# 6
For NiO, DFT lattice parameters and positions (GGA+U) gives the simulated powder diffractogram in this record (Cu Kα (weighted mean of Kα1 and Kα2)).
No peak broadening, texture or thermal motion is included.

Largest 5 diffraction maxima, sorted by position, 15 to 90 degrees two-theta:
2θ 36.92, rel. 75; 2θ 42.90, rel. 100; 2θ 62.28, rel. 58; 2θ 74.66, rel. 29; 2θ 78.59, rel. 18

Unit cell a=4.2166 b=4.2166 c=4.2166 alpha=90.00 beta=90.00 gamma=90.00
Atoms (fractional coordinates):
Ni 0.0000 0.0000 0.0000
Ni 0.0000 0.5000 0.5000
Ni 0.5000 0.0000 0.5000
Ni 0.5000 0.5000 0.0000
O 0.0000 0.0000 0.5000
O 0.0000 0.5000 0.0000
O 0.5000 0.0000 0.0000
O 0.5000 0.5000 0.5000

# 7
For Sr2TaCoO6, DFT lattice parameters and positions (GGA+U) gives the simulated powder diffractogram in this record (Cu Kα (weighted mean of Kα1 and Kα2)).
No peak broadening, texture or thermal motion is included.

Largest 8 diffraction maxima, sorted by position, 15 to 90 degrees two-theta:
2θ 19.42, rel. 24; 2θ 31.94, rel. 100; 2θ 32.11, rel. 20; 2θ 45.63, rel. 13; 2θ 45.94, rel. 25; 2θ 56.92, rel. 23; 2θ 57.14, rel. 15; 2θ 66.77, rel. 19

Unit cell a=5.6004 b=5.6037 c=18.5200 alpha=98.28 beta=90.03 gamma=119.96
Atoms (fractional coordinates):
Sr 0.0614 0.1228 0.1853
Sr 0.1879 0.3757 0.5639
Sr 0.3138 0.6278 0.9397
Sr 0.4363 0.8725 0.3104
Sr 0.5637 0.1275 0.6896
Sr 0.6862 0.3722 0.0603
Sr 0.8122 0.6243 0.4361
Sr 0.9386 0.8772 0.8147
Ta 0.0000 0.0000 0.0000
Ta 0.2517 0.5034 0.7538
Ta 0.5000 0.0000 0.5000
Ta 0.7483 0.4966 0.2462
Co 0.1244 0.2487 0.3734
Co 0.3741 0.7481 0.1239
Co 0.6259 0.2519 0.8761
Co 0.8756 0.7513 0.6266
O 0.0660 0.6224 0.1844
O 0.0665 0.1337 0.6908
O 0.0669 0.6300 0.6894
O 0.1875 0.8751 0.5636
O 0.1890 0.3778 0.0624
O 0.1892 0.8732 0.0628
O 0.3118 0.1245 0.4363
O 0.3138 0.6273 0.4374
O 0.3159 0.1269 0.9372
O 0.4376 0.3702 0.3105
O 0.4422 0.8846 0.8155
O 0.4434 0.3775 0.8156
O 0.5566 0.6225 0.1844
O 0.5578 0.1154 0.1845
O 0.5624 0.6298 0.6895
O 0.6841 0.8731 0.0628
O 0.6862 0.3727 0.5626
O 0.6882 0.8755 0.5637
O 0.8108 0.1268 0.9372
O 0.8111 0.6222 0.9376
O 0.8125 0.1249 0.4364
O 0.9331 0.3700 0.3106
O 0.9335 0.8663 0.3092
O 0.9340 0.3776 0.8156

# 8
For NbVO5, DFT lattice parameters and positions (GGA+U) gives the simulated powder diffractogram in this record (Cu Kα (weighted mean of Kα1 and Kα2)).
No peak broadening, texture or thermal motion is included.

Largest 8 diffraction maxima, sorted by position, 15 to 90 degrees two-theta:
2θ 19.22, rel. 65; 2θ 20.11, rel. 73; 2θ 21.41, rel. 100; 2θ 24.94, rel. 48; 2θ 25.32, rel. 40; 2θ 30.63, rel. 41; 2θ 33.54, rel. 31; 2θ 50.90, rel. 32

Unit cell a=12.1402 b=5.6317 c=7.1129 alpha=90.00 beta=90.00 gamma=90.00
Atoms (fractional coordinates):
Nb 0.0589 0.2500 0.1569
Nb 0.4411 0.7500 0.6569
Nb 0.5589 0.2500 0.3431
Nb 0.9411 0.7500 0.8431
V 0.1541 0.7500 0.4717
V 0.3459 0.2500 0.9717
V 0.6541 0.7500 0.0283
V 0.8459 0.2500 0.5283
O 0.0000 0.0000 0.0000
O 0.0000 0.5000 0.0000
O 0.0745 0.7500 0.6767
O 0.1248 0.9999 0.3432
O 0.1248 0.5001 0.3432
O 0.2049 0.2500 0.0344
O 0.2951 0.7500 0.5344
O 0.3752 0.0001 0.8432
O 0.3752 0.4999 0.8432
O 0.4255 0.2500 0.1767
O 0.5000 0.0000 0.5000
O 0.5000 0.5000 0.5000
O 0.5745 0.7500 0.8233
O 0.6248 0.9999 0.1568
O 0.6248 0.5001 0.1568
O 0.7049 0.2500 0.4656
O 0.7951 0.7500 0.9656
O 0.8752 0.0001 0.6568
O 0.8752 0.4999 0.6568
O 0.9255 0.2500 0.3233

# 9
For Sr2AlTlCo2O7, DFT lattice parameters and positions (GGA+U) gives the simulated powder diffractogram in this record (Cu Kα (weighted mean of Kα1 and Kα2)).
No peak broadening, texture or thermal motion is included.

Largest 8 diffraction maxima, sorted by position, 15 to 90 degrees two-theta:
2θ 28.44, rel. 41; 2θ 28.68, rel. 41; 2θ 31.46, rel. 100; 2θ 31.69, rel. 44; 2θ 31.82, rel. 28; 2θ 33.30, rel. 54; 2θ 39.00, rel. 35; 2θ 46.88, rel. 32

Unit cell a=3.8955 b=3.9286 c=11.6121 alpha=85.74 beta=85.45 gamma=86.92
Atoms (fractional coordinates):
Sr 0.0000 0.0000 0.0000
Sr 0.1303 0.1225 0.5644
Al 0.0618 0.0530 0.2824
Tl 0.5788 0.6296 0.7816
Co 0.4769 0.4745 0.1521
Co 0.6463 0.6332 0.4130
O 0.0482 0.9755 0.7815
O 0.1557 0.6870 0.3883
O 0.4289 0.9620 0.1749
O 0.5169 0.4964 0.9686
O 0.5881 0.5596 0.5964
O 0.6934 0.1434 0.3894
O 0.9687 0.4225 0.1782

# 10
For CsMgAlMo2O8, DFT lattice parameters and positions (GGA+U) gives the simulated powder diffractogram in this record (Cu Kα (weighted mean of Kα1 and Kα2)).
No peak broadening, texture or thermal motion is included.

Largest 8 diffraction maxima, sorted by position, 15 to 90 degrees two-theta:
2θ 20.73, rel. 100; 2θ 27.29, rel. 80; 2θ 31.54, rel. 58; 2θ 38.04, rel. 16; 2θ 42.18, rel. 18; 2θ 45.36, rel. 16; 2θ 50.22, rel. 19; 2θ 53.61, rel. 25

Unit cell a=5.6738 b=5.6738 c=8.7545 alpha=90.00 beta=90.00 gamma=120.00
Atoms (fractional coordinates):
Cs 0.0000 0.0000 0.0000
Mg 0.3333 0.6667 0.1887
Al 0.0000 0.0000 0.5392
Mo 0.3333 0.6667 0.7319
Mo 0.6667 0.3333 0.3485
O 0.1576 0.3152 0.6738
O 0.1576 0.8424 0.6738
O 0.3203 0.1602 0.4220
O 0.3333 0.6667 0.9388
O 0.6667 0.3333 0.1454
O 0.6848 0.8424 0.6738
O 0.8398 0.1602 0.4220
O 0.8398 0.6797 0.4220

What did the third record say?
For Li5Mn2Co5O12, DFT lattice parameters and positions (GGA+U) gives the simulated powder diffractogram in this record (Cu Kα (weighted mean of Kα1 and Kα2)).
No peak broadening, texture or thermal motion is included.

Largest 8 diffraction maxima, sorted by position, 15 to 90 degrees two-theta:
2θ 18.35, rel. 40; 2θ 23.94, rel. 29; 2θ 37.22, rel. 38; 2θ 42.73, rel. 100; 2θ 44.37, rel. 46; 2θ 62.02, rel. 27; 2θ 63.20, rel. 26; 2θ 63.40, rel. 27

Unit cell a=5.1529 b=5.1529 c=9.8738 alpha=95.68 beta=95.68 gamma=121.30
Atoms (fractional coordinates):
Li 0.0000 0.0000 0.0000
Li 0.2479 0.2430 0.7535
Li 0.4200 0.0766 0.2480
Li 0.7570 0.7521 0.2465
Li 0.9234 0.5800 0.7520
Mn 0.3338 0.6662 0.0000
Mn 0.8403 0.1597 0.5000
Co 0.0890 0.4081 0.2460
Co 0.1723 0.8277 0.5000
Co 0.5087 0.4913 0.5000
Co 0.5919 0.9110 0.7540
Co 0.6683 0.3317 0.0000
O 0.0450 0.6844 0.1137
O 0.1083 0.1190 0.3818
O 0.2053 0.5245 0.6188
O 0.3156 0.9550 0.8863
O 0.3815 0.4046 0.1150
O 0.4755 0.7947 0.3812
O 0.5744 0.1980 0.6177
O 0.5954 0.6185 0.8850
O 0.6899 0.0443 0.1151
O 0.8020 0.4256 0.3823
O 0.8810 0.8917 0.6182
O 0.9557 0.3101 0.8849

> What is the formula in the ninth record?

Sr2AlTlCo2O7